[1]
The following is a theoretical powder diffractogram of V2SiO7. It was derived from a PBE+U-relaxed structure, using Cu Kα (λ = 1.5418 Å).
Kinematic intensities with the Lorentz-polarization factor, no thermal factor.

Structure:
Cell lengths 8.299, 8.299, 8.299 Å; angles 90.00, 90.00, 90.00 degrees
Space group Pa-3 (No. 205)
Inequivalent atoms, fractional coordinates:
V  0.124  0.124  0.124 x8
Si  0.000  0.000  0.500 x4
O  0.000  0.000  0.000 x4
O  0.062  0.180  0.599 x24

The 8 most intense peaks (2θ = 5–70°), most intense first:
d_spacing, I_rel
3.711, 100
3.388, 78
4.149, 32
1.811, 23
2.302, 16
1.515, 15
1.467, 15
2.013, 11

***

[2]
The following is a theoretical powder diffractogram of V2SiO. It was derived from a PBE+U-relaxed structure, using Cu Kα (λ = 1.5418 Å).
Kinematic intensities with the Lorentz-polarization factor, no thermal factor.

Structure:
Cell lengths 5.501, 5.501, 8.881 Å; angles 90.00, 90.00, 90.00 degrees
Space group I-42d (No. 122)
Inequivalent atoms, fractional coordinates:
V  0.169  0.250  0.125 x8
Si  0.000  0.000  0.500 x4
O  0.000  0.000  0.000 x4

The 8 most intense peaks (2θ = 5–70°), most intense first:
d_spacing, I_rel
2.926, 100
2.371, 32
1.728, 28
1.945, 13
1.620, 12
1.892, 11
4.677, 9
1.356, 9

***

[3]
The following is a theoretical powder diffractogram of V3Si3O10. It was derived from a PBE+U-relaxed structure, using Cu Kα (λ = 1.5418 Å).
Kinematic intensities with the Lorentz-polarization factor, no thermal factor.

Structure:
Cell lengths 4.824, 7.948, 10.635 Å; angles 91.07, 90.61, 107.52 degrees
Space group P-1 (No. 2)
Inequivalent atoms, fractional coordinates:
V  0.000  0.000  0.000 x1
V  0.083  0.190  0.724 x2
V  0.396  0.802  0.773 x2
V  0.500  0.000  0.500 x1
Si  0.158  0.203  0.415 x2
Si  0.196  0.497  0.245 x2
Si  0.465  0.804  0.091 x2
O  0.029  0.634  0.848 x2
O  0.053  0.623  0.328 x2
O  0.143  0.827  0.105 x2
O  0.188  0.820  0.591 x2
O  0.238  0.032  0.341 x2
O  0.272  0.034  0.834 x2
O  0.296  0.184  0.555 x2
O  0.350  0.377  0.338 x2
O  0.393  0.179  0.048 x2
O  0.493  0.635  0.176 x2

The 8 most intense peaks (2θ = 5–70°), most intense first:
d_spacing, I_rel
3.300, 100
7.577, 95
4.306, 42
2.516, 33
2.497, 32
2.802, 22
2.831, 19
5.316, 18

***

[4]
The following is a theoretical powder diffractogram of VSi4O10. It was derived from a PBE+U-relaxed structure, using Cu Kα (λ = 1.5418 Å).
Kinematic intensities with the Lorentz-polarization factor, no thermal factor.

Structure:
Cell lengths 7.519, 7.519, 16.004 Å; angles 90.00, 90.00, 90.00 degrees
Space group P4/ncc (No. 130, origin choice 2)
Inequivalent atoms, fractional coordinates:
V  0.250  0.250  0.080 x4
Si  0.022  0.063  0.348 x16
O  0.002  0.225  0.867 x16
O  0.025  0.525  0.250 x8
O  0.047  0.116  0.094 x16

The 8 most intense peaks (2θ = 5–70°), most intense first:
d_spacing, I_rel
4.001, 100
3.100, 72
3.532, 67
3.759, 58
5.316, 52
3.403, 44
1.849, 21
2.658, 17